Entry 1:
The following is a simulated XRD peak list of BaAl2Zn6. It was derived from a crystal structure in Alexandria, relaxed with PBE, using copper Kα.
Neutral-atom scattering factors, no anomalous dispersion.

Atomic structure:
a b c (Å): 4.6584 4.6584 8.1499
angles (deg): 90.00 90.00 90.00
Positions (direct):
Ba1 0.0000 0.0000 0.0000
Al1 0.5000 0.5000 0.1646
Al2 0.5000 0.5000 0.8354
Zn1 0.0000 0.0000 0.5000
Zn2 0.0000 0.5000 0.3240
Zn3 0.0000 0.5000 0.6760
Zn4 0.5000 0.0000 0.3240
Zn5 0.5000 0.0000 0.6760
Zn6 0.5000 0.5000 0.5000

Main lines, in order of falling intensity (10° ≤ 2θ ≤ 90°):
| d (Å) | Rel. int. |
| --- | --- |
| 2.562 | 100.0 |
| 2.329 | 81.3 |
| 2.096 | 37.7 |
| 1.385 | 27.4 |
| 8.150 | 27.2 |
| 1.647 | 26.8 |
| 3.067 | 23.0 |
| 4.044 | 19.6 |

***

Entry 2:
The following is a simulated XRD peak list of BaAl6Zn2. It was derived from a crystal structure in Alexandria, relaxed with PBE, using copper Kα.
Neutral-atom scattering factors, no anomalous dispersion.

Atomic structure:
a b c (Å): 4.7481 4.7481 8.1506
angles (deg): 90.00 90.00 90.00
Positions (direct):
Ba1 0.0000 0.0000 0.0000
Al1 0.0000 0.0000 0.5000
Al2 0.0000 0.5000 0.3218
Al3 0.0000 0.5000 0.6782
Al4 0.5000 0.0000 0.3218
Al5 0.5000 0.0000 0.6782
Al6 0.5000 0.5000 0.5000
Zn1 0.5000 0.5000 0.1586
Zn2 0.5000 0.5000 0.8414

Main lines, in order of falling intensity (10° ≤ 2θ ≤ 90°):
| d (Å) | Rel. int. |
| --- | --- |
| 2.374 | 100.0 |
| 3.104 | 90.4 |
| 3.092 | 79.1 |
| 2.358 | 76.7 |
| 3.357 | 65.3 |
| 1.673 | 52.0 |
| 2.591 | 50.8 |
| 8.151 | 50.3 |

***

Entry 3:
The following is a simulated XRD peak list of BeAl. It was derived from a crystal structure in Alexandria, relaxed with PBE, using copper Kα.
Neutral-atom scattering factors, no anomalous dispersion.

Atomic structure:
a b c (Å): 7.1495 7.1495 3.6886
angles (deg): 90.00 90.00 120.00
Positions (direct):
Be1 0.0519 0.1985 0.2500
Be2 0.1466 0.9481 0.2500
Be3 0.1985 0.1466 0.7500
Be4 0.8015 0.8534 0.2500
Be5 0.8534 0.0519 0.7500
Be6 0.9481 0.8015 0.7500
Al1 0.1127 0.4464 0.7500
Al2 0.3337 0.8873 0.7500
Al3 0.4464 0.3337 0.2500
Al4 0.5536 0.6663 0.7500
Al5 0.6663 0.1127 0.2500
Al6 0.8873 0.5536 0.2500

Main lines, in order of falling intensity (10° ≤ 2θ ≤ 90°):
| d (Å) | Rel. int. |
| --- | --- |
| 1.976 | 100.0 |
| 2.340 | 90.2 |
| 3.169 | 73.8 |
| 2.567 | 63.5 |
| 1.449 | 38.7 |
| 1.844 | 24.6 |
| 1.427 | 16.0 |
| 1.134 | 14.4 |

***

Entry 4:
The following is a simulated XRD peak list of BeAl. It was derived from a crystal structure in Alexandria, relaxed with PBE, using copper Kα.
Neutral-atom scattering factors, no anomalous dispersion.

Atomic structure:
a b c (Å): 4.6761 4.6761 2.6327
angles (deg): 106.20 106.20 99.05
Positions (direct):
Be1 0.0000 0.0000 0.0000
Be2 0.6765 0.6765 0.1780
Al1 0.1927 0.5847 0.3926
Al2 0.5847 0.1927 0.3926

Main lines, in order of falling intensity (10° ≤ 2θ ≤ 90°):
| d (Å) | Rel. int. |
| --- | --- |
| 2.176 | 100.0 |
| 2.740 | 91.2 |
| 2.171 | 79.4 |
| 2.369 | 64.9 |
| 2.377 | 64.6 |
| 3.557 | 62.9 |
| 1.976 | 58.8 |
| 1.972 | 57.7 |

***

Entry 5:
The following is a simulated XRD peak list of Be3Al5. It was derived from a crystal structure in Alexandria, relaxed with PBE, using copper Kα.
Neutral-atom scattering factors, no anomalous dispersion.

Atomic structure:
a b c (Å): 6.9977 6.9977 5.1084
angles (deg): 90.00 90.00 120.00
Positions (direct):
Be1 0.0000 0.3989 0.2500
Be2 0.0000 0.6011 0.7500
Be3 0.3989 0.0000 0.2500
Be4 0.3989 0.3989 0.7500
Be5 0.6011 0.0000 0.7500
Be6 0.6011 0.6011 0.2500
Al1 0.0000 0.2406 0.7500
Al2 0.0000 0.7594 0.2500
Al3 0.2406 0.0000 0.7500
Al4 0.2406 0.2406 0.2500
Al5 0.3333 0.6667 0.0000
Al6 0.3333 0.6667 0.5000
Al7 0.6667 0.3333 0.0000
Al8 0.6667 0.3333 0.5000
Al9 0.7594 0.0000 0.2500
Al10 0.7594 0.7594 0.7500

Main lines, in order of falling intensity (10° ≤ 2θ ≤ 90°):
| d (Å) | Rel. int. |
| --- | --- |
| 2.090 | 100.0 |
| 2.063 | 84.4 |
| 2.291 | 53.9 |
| 2.354 | 49.8 |
| 2.887 | 43.8 |
| 2.020 | 35.7 |
| 3.030 | 34.2 |
| 1.303 | 27.0 |

***

Entry 6:
The following is a simulated XRD peak list of Be3Al2. It was derived from a crystal structure in Alexandria, relaxed with PBE, using copper Kα.
Neutral-atom scattering factors, no anomalous dispersion.

Atomic structure:
a b c (Å): 7.2556 4.3806 7.8739
angles (deg): 65.56 33.34 81.10
Positions (direct):
Be1 0.0000 0.0000 0.0000
Be2 0.2084 0.3115 0.5341
Be3 0.2500 0.2500 0.2500
Be4 0.3039 0.7159 0.9385
Be5 0.3115 0.2084 0.9461
Be6 0.7159 0.3039 0.0416
Al1 0.2984 0.7290 0.6104
Al2 0.6396 0.8878 0.9516
Al3 0.7290 0.2984 0.3622
Al4 0.8878 0.6396 0.5210

Main lines, in order of falling intensity (10° ≤ 2θ ≤ 90°):
| d (Å) | Rel. int. |
| --- | --- |
| 2.240 | 100.0 |
| 2.549 | 92.6 |
| 2.111 | 77.2 |
| 2.163 | 75.1 |
| 2.942 | 72.7 |
| 1.978 | 55.4 |
| 1.754 | 47.4 |
| 1.843 | 44.1 |

***

Entry 7:
The following is a simulated XRD peak list of BeAl3. It was derived from a crystal structure in Alexandria, relaxed with PBE, using copper Kα.
Neutral-atom scattering factors, no anomalous dispersion.

Atomic structure:
a b c (Å): 5.4849 5.4849 4.4827
angles (deg): 90.00 90.00 120.00
Positions (direct):
Be1 0.3333 0.6667 0.2500
Be2 0.6667 0.3333 0.7500
Al1 0.1700 0.3401 0.7500
Al2 0.1700 0.8300 0.7500
Al3 0.3401 0.1700 0.2500
Al4 0.6599 0.8300 0.7500
Al5 0.8300 0.1700 0.2500
Al6 0.8300 0.6599 0.2500

Main lines, in order of falling intensity (10° ≤ 2θ ≤ 90°):
| d (Å) | Rel. int. |
| --- | --- |
| 2.099 | 100.0 |
| 2.241 | 27.4 |
| 2.375 | 24.4 |
| 3.260 | 23.0 |
| 1.265 | 21.4 |
| 1.170 | 19.6 |
| 1.371 | 16.5 |
| 1.148 | 15.0 |

***

Entry 8:
The following is a simulated XRD peak list of BeAl. It was derived from a crystal structure in Alexandria, relaxed with PBE, using copper Kα.
Neutral-atom scattering factors, no anomalous dispersion.

Atomic structure:
a b c (Å): 5.8351 5.8351 5.8351
angles (deg): 138.48 58.08 141.26
Positions (direct):
Be1 0.0000 0.0000 0.0000
Be2 0.4040 0.5124 0.8916
Be3 0.6207 0.5124 0.1084
Al1 0.2643 0.0205 0.2438
Al2 0.3662 0.8662 0.5000
Al3 0.7767 0.0205 0.7562

Main lines, in order of falling intensity (10° ≤ 2θ ≤ 90°):
| d (Å) | Rel. int. |
| --- | --- |
| 1.894 | 100.0 |
| 2.826 | 96.9 |
| 2.551 | 54.5 |
| 2.472 | 51.5 |
| 2.068 | 41.3 |
| 3.619 | 33.3 |
| 1.607 | 25.8 |
| 1.809 | 21.2 |

***

Entry 9:
The following is a simulated XRD peak list of Be3Al. It was derived from a crystal structure in Alexandria, relaxed with PBE, using copper Kα.
Neutral-atom scattering factors, no anomalous dispersion.

Atomic structure:
a b c (Å): 4.0631 4.0631 4.1148
angles (deg): 99.41 99.41 40.01
Positions (direct):
Be1 0.0000 0.0000 0.0000
Be2 0.2582 0.2582 0.7853
Be3 0.7418 0.7418 0.2147
Al1 0.5000 0.5000 0.5000

Main lines, in order of falling intensity (10° ≤ 2θ ≤ 90°):
| d (Å) | Rel. int. |
| --- | --- |
| 2.135 | 100.0 |
| 1.781 | 56.6 |
| 3.760 | 53.5 |
| 4.052 | 45.8 |
| 2.607 | 43.2 |
| 1.929 | 35.6 |
| 3.032 | 35.3 |
| 1.880 | 33.4 |

***

Entry 10:
The following is a simulated XRD peak list of BeAlBr. It was derived from a crystal structure in Alexandria, relaxed with PBE, using copper Kα.
Neutral-atom scattering factors, no anomalous dispersion.

Atomic structure:
a b c (Å): 4.0944 4.7576 7.9893
angles (deg): 90.00 90.13 90.00
Positions (direct):
Be1 0.0057 0.0000 0.0351
Be2 0.9943 0.5000 0.9649
Al1 0.4965 0.2335 0.9408
Al2 0.5035 0.7335 0.0592
Br1 0.2398 0.9566 0.3019
Br2 0.7602 0.4566 0.6981

Main lines, in order of falling intensity (10° ≤ 2θ ≤ 90°):
| d (Å) | Rel. int. |
| --- | --- |
| 4.088 | 100.0 |
| 3.642 | 71.0 |
| 3.103 | 48.8 |
| 2.450 | 34.3 |
| 1.992 | 27.5 |
| 2.021 | 21.9 |
| 1.830 | 18.6 |
| 2.663 | 17.1 |

***

Entry 11:
The following is a simulated XRD peak list of Be3AlC. It was derived from a crystal structure in Alexandria, relaxed with PBE, using copper Kα.
Neutral-atom scattering factors, no anomalous dispersion.

Atomic structure:
a b c (Å): 6.7082 6.7082 6.7082
angles (deg): 25.39 25.39 25.39
Positions (direct):
Be1 0.0000 0.0000 0.0000
Be2 0.2608 0.2608 0.2608
Be3 0.7281 0.7281 0.7281
Al1 0.4963 0.4963 0.4963
C1 0.3545 0.3545 0.3545

Main lines, in order of falling intensity (10° ≤ 2θ ≤ 90°):
| d (Å) | Rel. int. |
| --- | --- |
| 2.532 | 100.0 |
| 2.261 | 96.3 |
| 1.762 | 78.9 |
| 3.244 | 75.2 |
| 1.474 | 55.4 |
| 2.470 | 47.0 |
| 2.135 | 44.4 |
| 1.342 | 24.3 |

***

Entry 12:
The following is a simulated XRD peak list of Be3AlC. It was derived from a crystal structure in Alexandria, relaxed with PBE, using copper Kα.
Neutral-atom scattering factors, no anomalous dispersion.

Atomic structure:
a b c (Å): 2.9420 2.9420 6.6432
angles (deg): 90.00 90.00 120.00
Positions (direct):
Be1 0.0000 0.0000 0.0000
Be2 0.3333 0.6667 0.1820
Be3 0.6667 0.3333 0.3931
Al1 0.3333 0.6667 0.6749
C1 0.6667 0.3333 0.1261

Main lines, in order of falling intensity (10° ≤ 2θ ≤ 90°):
| d (Å) | Rel. int. |
| --- | --- |
| 2.379 | 100.0 |
| 2.022 | 79.7 |
| 3.322 | 58.1 |
| 2.548 | 38.7 |
| 1.471 | 33.9 |
| 1.391 | 24.7 |
| 1.671 | 21.5 |
| 1.345 | 17.4 |